Calculated powder X-ray diffraction pattern
Compound: BaReNiO6
Radiation: Cu Kα (weighted mean of Kα1 and Kα2)
Structure: a cell relaxed with PBE+U

Crystal structure
```
data_BaReNiO6
_chemical_formula_sum 'Ba2 Re2 Ni2 O12'
_cell_length_a 5.326
_cell_length_b 8.891
_cell_length_c 5.713
_cell_angle_alpha 90.00
_cell_angle_beta 92.19
_cell_angle_gamma 90.00
_space_group_name_H-M_alt 'C 1 2 1'
_space_group_IT_number 5
loop_
_space_group_symop_operation_xyz
'x,y,z'
'-x,y,-z'
'x+1/2,y+1/2,z'
'-x+1/2,y+1/2,-z'
loop_
_atom_site_label
_atom_site_type_symbol
_atom_site_fract_x
_atom_site_fract_y
_atom_site_fract_z
Ba1 Ba 0.000 0.000 0.000
Re1 Re 0.000 0.342 0.500
Ni1 Ni 0.000 0.679 0.500
O1 O 0.107 0.516 0.687
O2 O 0.176 0.222 0.712
O3 O 0.202 0.824 0.675
```

Top 10 peaks for 5° ≤ 2θ ≤ 70°, by angle:
2theta, d (Å), I_rel, (hkl)
15.5, 5.709, 25, 0 0 1
24.6, 3.624, 56, 1 1 -1
25.4, 3.509, 100, 1 1 1
31.3, 2.854, 17, 0 0 2
33.7, 2.661, 18, 2 0 0
34.6, 2.589, 32, 1 3 0
45.7, 1.985, 13, 2 0 -2
46.9, 1.936, 16, 1 3 -2
47.9, 1.900, 23, 1 3 2
60.9, 1.522, 12, 3 3 0